Structure and theoretical powder XRD pattern of BaTm2CuO5 (a structure optimized by DFT (PBE); copper Kα).
Intensities are scaled so that the largest is 100.

Structure:
```
data_BaTm2CuO5
_symmetry_space_group_name_H-M 'P 1'
_symmetry_Int_Tables_number 1
_cell_length_a 12.129
_cell_length_b 5.649
_cell_length_c 7.139
_cell_angle_alpha 90.00
_cell_angle_beta 90.00
_cell_angle_gamma 90.00
loop_
_symmetry_equiv_pos_as_xyz
'x,y,z'
loop_
_atom_site_label
_atom_site_type_symbol
_atom_site_fract_x
_atom_site_fract_y
_atom_site_fract_z
_atom_site_occupancy
Ba1 Ba 0.096 0.250 0.069 1
Ba2 Ba 0.404 0.750 0.569 1
Ba3 Ba 0.596 0.250 0.431 1
Ba4 Ba 0.904 0.750 0.931 1
Tm1 Tm 0.074 0.750 0.397 1
Tm2 Tm 0.213 0.250 0.613 1
Tm3 Tm 0.287 0.750 0.113 1
Tm4 Tm 0.426 0.250 0.897 1
Tm5 Tm 0.574 0.750 0.103 1
Tm6 Tm 0.713 0.250 0.887 1
Tm7 Tm 0.787 0.750 0.387 1
Tm8 Tm 0.926 0.250 0.603 1
Cu1 Cu 0.161 0.750 0.782 1
Cu2 Cu 0.339 0.250 0.282 1
Cu3 Cu 0.661 0.750 0.718 1
Cu4 Cu 0.839 0.250 0.218 1
O1 O 0.068 0.503 0.659 1
O2 O 0.068 0.997 0.659 1
O3 O 0.101 0.750 0.087 1
O4 O 0.228 0.002 0.357 1
O5 O 0.228 0.498 0.357 1
O6 O 0.272 0.502 0.857 1
O7 O 0.272 0.998 0.857 1
O8 O 0.399 0.250 0.587 1
O9 O 0.432 0.003 0.159 1
O10 O 0.432 0.497 0.159 1
O11 O 0.568 0.503 0.841 1
O12 O 0.568 0.997 0.841 1
O13 O 0.601 0.750 0.413 1
O14 O 0.728 0.002 0.143 1
O15 O 0.728 0.498 0.143 1
O16 O 0.772 0.502 0.643 1
O17 O 0.772 0.998 0.643 1
O18 O 0.899 0.250 0.913 1
O19 O 0.932 0.003 0.341 1
O20 O 0.932 0.497 0.341 1
```

Top 10 peaks for 2θ = 15–90°, in order of rising 2θ:
2theta, I (rel.)
29.92, 100
30.53, 62
31.68, 47
32.07, 22
40.73, 15
45.70, 29
46.76, 16
55.34, 18
59.21, 16
61.73, 15

Structure and theoretical powder XRD pattern of ErLuRu2 (a structure optimized by DFT (PBE); copper Kα).
Intensities are scaled so that the largest is 100.

Structure:
```
data_ErLuRu2
_symmetry_space_group_name_H-M 'P 1'
_symmetry_Int_Tables_number 1
_cell_length_a 6.713
_cell_length_b 6.713
_cell_length_c 6.713
_cell_angle_alpha 90.00
_cell_angle_beta 90.00
_cell_angle_gamma 90.00
loop_
_symmetry_equiv_pos_as_xyz
'x,y,z'
loop_
_atom_site_label
_atom_site_type_symbol
_atom_site_fract_x
_atom_site_fract_y
_atom_site_fract_z
_atom_site_occupancy
Er1 Er 0.000 0.000 0.000 1
Er2 Er 0.000 0.500 0.500 1
Er3 Er 0.500 0.000 0.500 1
Er4 Er 0.500 0.500 0.000 1
Lu1 Lu 0.000 0.000 0.500 1
Lu2 Lu 0.000 0.500 0.000 1
Lu3 Lu 0.500 0.000 0.000 1
Lu4 Lu 0.500 0.500 0.500 1
Ru1 Ru 0.250 0.250 0.250 1
Ru2 Ru 0.250 0.250 0.750 1
Ru3 Ru 0.250 0.750 0.250 1
Ru4 Ru 0.250 0.750 0.750 1
Ru5 Ru 0.750 0.250 0.250 1
Ru6 Ru 0.750 0.250 0.750 1
Ru7 Ru 0.750 0.750 0.250 1
Ru8 Ru 0.750 0.750 0.750 1
```

Top 8 peaks for 2θ = 15–90°, in order of rising 2θ:
2theta, I (rel.)
26.56, 7
37.91, 100
46.88, 2
54.69, 17
61.80, 3
68.47, 35
81.03, 11
87.11, 2

Structure and theoretical powder XRD pattern of Na4TiAlSi2PO12 (a structure optimized by DFT (PBE); copper Kα).
Intensities are scaled so that the largest is 100.

Structure:
```
data_Na4TiAlSi2PO12
_symmetry_space_group_name_H-M 'P 1'
_symmetry_Int_Tables_number 1
_cell_length_a 8.864
_cell_length_b 8.864
_cell_length_c 8.880
_cell_angle_alpha 119.76
_cell_angle_beta 119.76
_cell_angle_gamma 60.28
loop_
_symmetry_equiv_pos_as_xyz
'x,y,z'
loop_
_atom_site_label
_atom_site_type_symbol
_atom_site_fract_x
_atom_site_fract_y
_atom_site_fract_z
_atom_site_occupancy
Na1 Na 0.062 0.938 0.500 1
Na2 Na 0.196 0.434 0.995 1
Na3 Na 0.314 0.821 0.247 1
Na4 Na 0.434 0.196 0.495 1
Na5 Na 0.566 0.705 0.003 1
Na6 Na 0.705 0.566 0.503 1
Na7 Na 0.821 0.314 0.747 1
Na8 Na 0.938 0.062 0.000 1
Ti1 Ti 0.464 0.965 0.696 1
Ti2 Ti 0.965 0.464 0.196 1
Al1 Al 0.159 0.677 0.808 1
Al2 Al 0.677 0.159 0.308 1
Si1 Si 0.064 0.281 0.506 1
Si2 Si 0.281 0.064 0.006 1
Si3 Si 0.779 0.862 0.505 1
Si4 Si 0.862 0.779 0.005 1
P1 P 0.358 0.565 0.505 1
P2 P 0.565 0.358 0.005 1
O1 O 0.044 0.307 0.323 1
O2 O 0.049 0.749 0.983 1
O3 O 0.091 0.244 0.017 1
O4 O 0.095 0.463 0.683 1
O5 O 0.183 0.544 0.331 1
O6 O 0.244 0.091 0.517 1
O7 O 0.257 0.880 0.980 1
O8 O 0.307 0.044 0.823 1
O9 O 0.331 0.590 0.675 1
O10 O 0.379 0.736 0.516 1
O11 O 0.398 0.534 0.982 1
O12 O 0.463 0.095 0.183 1
O13 O 0.534 0.398 0.482 1
O14 O 0.544 0.183 0.831 1
O15 O 0.590 0.331 0.175 1
O16 O 0.590 0.882 0.518 1
O17 O 0.673 0.808 0.823 1
O18 O 0.736 0.379 0.016 1
O19 O 0.749 0.049 0.483 1
O20 O 0.808 0.673 0.323 1
O21 O 0.831 0.963 0.180 1
O22 O 0.880 0.257 0.480 1
O23 O 0.882 0.590 0.018 1
O24 O 0.963 0.831 0.680 1
```

Top 10 peaks for 2θ = 15–90°, in order of rising 2θ:
2theta, I (rel.)
19.97, 39
23.48, 37
24.49, 24
28.41, 18
31.09, 24
31.82, 100
34.97, 32
35.12, 15
45.63, 16
48.09, 24

Repeat the third record exactly.
Structure and theoretical powder XRD pattern of Na4TiAlSi2PO12 (a structure optimized by DFT (PBE); copper Kα).
Intensities are scaled so that the largest is 100.

Structure:
```
data_Na4TiAlSi2PO12
_symmetry_space_group_name_H-M 'P 1'
_symmetry_Int_Tables_number 1
_cell_length_a 8.864
_cell_length_b 8.864
_cell_length_c 8.880
_cell_angle_alpha 119.76
_cell_angle_beta 119.76
_cell_angle_gamma 60.28
loop_
_symmetry_equiv_pos_as_xyz
'x,y,z'
loop_
_atom_site_label
_atom_site_type_symbol
_atom_site_fract_x
_atom_site_fract_y
_atom_site_fract_z
_atom_site_occupancy
Na1 Na 0.062 0.938 0.500 1
Na2 Na 0.196 0.434 0.995 1
Na3 Na 0.314 0.821 0.247 1
Na4 Na 0.434 0.196 0.495 1
Na5 Na 0.566 0.705 0.003 1
Na6 Na 0.705 0.566 0.503 1
Na7 Na 0.821 0.314 0.747 1
Na8 Na 0.938 0.062 0.000 1
Ti1 Ti 0.464 0.965 0.696 1
Ti2 Ti 0.965 0.464 0.196 1
Al1 Al 0.159 0.677 0.808 1
Al2 Al 0.677 0.159 0.308 1
Si1 Si 0.064 0.281 0.506 1
Si2 Si 0.281 0.064 0.006 1
Si3 Si 0.779 0.862 0.505 1
Si4 Si 0.862 0.779 0.005 1
P1 P 0.358 0.565 0.505 1
P2 P 0.565 0.358 0.005 1
O1 O 0.044 0.307 0.323 1
O2 O 0.049 0.749 0.983 1
O3 O 0.091 0.244 0.017 1
O4 O 0.095 0.463 0.683 1
O5 O 0.183 0.544 0.331 1
O6 O 0.244 0.091 0.517 1
O7 O 0.257 0.880 0.980 1
O8 O 0.307 0.044 0.823 1
O9 O 0.331 0.590 0.675 1
O10 O 0.379 0.736 0.516 1
O11 O 0.398 0.534 0.982 1
O12 O 0.463 0.095 0.183 1
O13 O 0.534 0.398 0.482 1
O14 O 0.544 0.183 0.831 1
O15 O 0.590 0.331 0.175 1
O16 O 0.590 0.882 0.518 1
O17 O 0.673 0.808 0.823 1
O18 O 0.736 0.379 0.016 1
O19 O 0.749 0.049 0.483 1
O20 O 0.808 0.673 0.323 1
O21 O 0.831 0.963 0.180 1
O22 O 0.880 0.257 0.480 1
O23 O 0.882 0.590 0.018 1
O24 O 0.963 0.831 0.680 1
```

Top 10 peaks for 2θ = 15–90°, in order of rising 2θ:
2theta, I (rel.)
19.97, 39
23.48, 37
24.49, 24
28.41, 18
31.09, 24
31.82, 100
34.97, 32
35.12, 15
45.63, 16
48.09, 24